This entry pairs a crystal structure of LiV3P3H2O12 with its theoretical powder diffractogram. Radiation: a wavelength of 1.5418 Å. Structure: a DFT-relaxed cell (PBE+U, Alexandria).

Atomic structure:
```
data_LiV3P3H2O12
_chemical_formula_sum 'Li2 V6 P6 H4 O24'
_symmetry_space_group_name_H-M 'P 1'
_symmetry_Int_Tables_number 1
_cell_length_a 8.676
_cell_length_b 8.676
_cell_length_c 6.668
_cell_angle_alpha 107.30
_cell_angle_beta 107.30
_cell_angle_gamma 92.48
loop_
_symmetry_equiv_pos_as_xyz
'x,y,z'
loop_
_atom_site_label
_atom_site_type_symbol
_atom_site_fract_x
_atom_site_fract_y
_atom_site_fract_z
Li1 Li 0.022 0.978 0.750
Li2 Li 0.978 0.022 0.250
V1 V 0.040 0.365 0.113
V2 V 0.290 0.710 0.750
V3 V 0.365 0.040 0.613
V4 V 0.635 0.960 0.387
V5 V 0.710 0.290 0.250
V6 V 0.960 0.635 0.887
P1 P 0.099 0.319 0.605
P2 P 0.319 0.099 0.105
P3 P 0.327 0.673 0.250
P4 P 0.673 0.327 0.750
P5 P 0.681 0.901 0.895
P6 P 0.901 0.681 0.395
H1 H 0.374 0.376 0.684
H2 H 0.376 0.374 0.184
H3 H 0.624 0.626 0.816
H4 H 0.626 0.624 0.316
O1 O 0.025 0.684 0.620
O2 O 0.034 0.392 0.799
O3 O 0.134 0.142 0.581
O4 O 0.142 0.134 0.081
O5 O 0.222 0.707 0.040
O6 O 0.261 0.434 0.644
O7 O 0.291 0.490 0.232
O8 O 0.293 0.778 0.460
O9 O 0.316 0.975 0.880
O10 O 0.392 0.034 0.299
O11 O 0.434 0.261 0.144
O12 O 0.490 0.291 0.732
O13 O 0.510 0.709 0.268
O14 O 0.566 0.739 0.856
O15 O 0.608 0.966 0.701
O16 O 0.684 0.025 0.120
O17 O 0.707 0.222 0.540
O18 O 0.709 0.510 0.768
O19 O 0.739 0.566 0.356
O20 O 0.778 0.293 0.960
O21 O 0.858 0.866 0.919
O22 O 0.866 0.858 0.419
O23 O 0.966 0.608 0.201
O24 O 0.975 0.316 0.380
```

Most intense lines, 5° ≤ 2θ ≤ 70°, by intensity:
2θ (°), I (rel.)
28.06, 100.0
14.13, 78.3
32.78, 67.3
33.03, 51.7
25.67, 42.7
41.65, 29.4